[1]
The following is a theoretical powder XRD pattern of Nd2Sm12Tm. It was derived from a structure optimized by DFT (PBE), using Cu Ka.
No peak broadening, texture or thermal motion is included.

Atomic structure:
```
30
Lattice="3.588 -5.774 0.000 3.588 5.774 0.000 0.000 0.000 24.949" Properties=species:S:1:pos:R:3 pbc="T T T"
Nd 3.588 2.887 5.857
Nd 3.588 2.887 19.267
Nd 3.588 -2.887 5.682
Nd 3.588 -2.887 19.092
Sm 1.804 2.887 15.617
Sm 3.588 5.763 10.602
Sm 1.932 2.887 2.071
Sm 3.588 5.502 23.454
Sm 1.794 0.000 4.330
Sm 1.794 0.000 7.527
Sm 1.794 0.000 17.423
Sm 1.794 0.000 20.619
Sm 3.588 0.272 23.454
Sm 5.244 2.887 2.071
Sm 3.588 0.011 10.602
Sm 5.372 2.887 15.617
Sm 1.804 -2.887 9.332
Sm 3.588 -0.011 14.347
Sm 1.932 -2.887 22.878
Sm 3.588 -0.272 1.495
Sm 5.383 0.000 4.330
Sm 5.383 0.000 7.527
Sm 5.383 0.000 17.423
Sm 5.383 0.000 20.619
Sm 3.588 -5.502 1.495
Sm 5.244 -2.887 22.878
Sm 3.588 -5.763 14.347
Sm 5.372 -2.887 9.332
Tm 3.588 2.887 12.480
Tm 3.588 -2.887 12.470
```

Main lines, sorted by position (2θ = 5–70°):
- 28.69 deg, rel. 29
- 29.45 deg, rel. 49
- 30.19 deg, rel. 69
- 30.97 deg, rel. 71
- 31.26 deg, rel. 22
- 32.66 deg, rel. 100
- 36.55 deg, rel. 45
- 42.72 deg, rel. 19
- 56.18 deg, rel. 20
- 57.72 deg, rel. 21
- 60.78 deg, rel. 20
- 61.78 deg, rel. 19


[2]
The following is a theoretical powder XRD pattern of BaSr2UO6. It was derived from a structure optimized by DFT (PBE), using Cu Ka.
No peak broadening, texture or thermal motion is included.

Atomic structure:
```
10
Lattice="5.439 -3.152 0.000 5.439 3.152 0.000 -3.378 0.000 5.266" Properties=species:S:1:pos:R:3 pbc="T T T"
Ba 0.000 0.000 0.000
Sr 0.300 0.000 3.731
Sr 7.200 0.000 1.535
U 3.750 0.000 2.633
O 2.381 1.450 3.320
O 2.742 0.000 0.795
O 5.119 1.450 1.946
O 2.381 -1.450 3.320
O 4.758 0.000 4.471
O 5.119 -1.450 1.946
```

Main lines, sorted by position (2θ = 5–70°):
- 20.00 deg, rel. 37
- 27.57 deg, rel. 100
- 28.31 deg, rel. 46
- 28.42 deg, rel. 100
- 28.56 deg, rel. 35
- 39.36 deg, rel. 20
- 40.65 deg, rel. 44
- 49.19 deg, rel. 27
- 49.46 deg, rel. 20
- 49.67 deg, rel. 18
- 50.19 deg, rel. 23
- 51.01 deg, rel. 20